# 1
# Ba2PrVO6
Computed X-ray powder pattern, copper Kα. Input: DFT lattice parameters and positions (PBE+U).
No peak broadening, texture or thermal motion is included.

Top 12 peaks for 10 to 90 degrees two-theta, most intense first:
2θ/deg  d/Å  I/Imax  (hkl)
29.61  3.016  100  2 2 0
52.55  1.742  39  4 2 2
42.38  2.133  31  4 0 0
85.09  1.140  21  6 4 2
61.48  1.508  19  4 4 0
69.71  1.349  18  6 2 0
34.88  2.572  7  3 1 1
18.01  4.926  6  1 1 1
77.51  1.231  6  4 4 4
36.48  2.463  6  2 2 2
46.39  1.957  4  3 3 1
87.90  1.111  2  7 3 1

Structural model:
a b c (Å): 8.532 8.532 8.532
angles (deg): 90.00 90.00 90.00
Space group Fm-3m (No. 225)
Asymmetric unit:
1 Ba 0.250 0.250 0.250
2 Pr 0.000 0.000 0.000
3 V 0.000 0.000 0.500
4 O 0.000 0.000 0.275

---

# 2
# Ba2PrVO6
Computed X-ray powder pattern, copper Kα. Input: DFT lattice parameters and positions (PBE+U).
No peak broadening, texture or thermal motion is included.

Top 12 peaks for 10 to 90 degrees two-theta, most intense first:
2θ/deg  d/Å  I/Imax  (hkl)
29.58  3.020  100  2 2 0
52.49  1.743  40  4 2 2
42.33  2.135  30  4 0 0
84.98  1.141  21  6 2 4
61.41  1.510  18  4 4 0
69.62  1.350  18  6 2 0
34.84  2.575  7  3 1 1
17.99  4.931  6  1 1 1
77.42  1.233  6  4 4 4
36.44  2.465  6  2 2 2
46.34  1.959  4  3 3 1
87.79  1.112  2  7 1 3

Structural model:
a b c (Å): 8.541 8.541 8.541
angles (deg): 90.00 90.00 90.00
Space group Pn-3 (No. 201, origin choice 2)
Asymmetric unit:
1 Ba 0.250 0.250 0.250
2 Ba 0.250 0.250 0.750
3 Pr 0.000 0.000 0.000
4 V 0.000 0.000 0.500
5 O 0.010 0.511 0.775

---

# 3
# Ba2PrWO6
Computed X-ray powder pattern, copper Kα. Input: DFT lattice parameters and positions (PBE+U).
No peak broadening, texture or thermal motion is included.

Top 12 peaks for 10 to 90 degrees two-theta, most intense first:
2θ/deg  d/Å  I/Imax  (hkl)
28.99  3.080  100  2 2 0
51.38  1.778  42  4 2 2
41.46  2.178  28  4 0 0
82.94  1.164  22  6 4 2
68.06  1.377  19  6 0 2
60.08  1.540  17  4 4 0
75.62  1.257  6  4 4 4
20.39  4.356  3  2 0 0
17.63  5.030  2  1 1 1
46.62  1.948  1  4 0 2
64.14  1.452  1  4 4 2
34.13  2.627  1  3 1 1

Structural model:
a b c (Å): 8.712 8.712 8.712
angles (deg): 90.00 90.00 90.00
Space group Pn-3 (No. 201, origin choice 2)
Asymmetric unit:
1 Ba 0.250 0.250 0.250
2 Ba 0.250 0.250 0.750
3 Pr 0.000 0.000 0.000
4 W 0.000 0.000 0.500
5 O 0.022 0.230 0.524

---

# 4
# Ba2PrWO6
Computed X-ray powder pattern, copper Kα. Input: DFT lattice parameters and positions (PBE+U).
No peak broadening, texture or thermal motion is included.

Top 12 peaks for 10 to 90 degrees two-theta, most intense first:
2θ/deg  d/Å  I/Imax  (hkl)
28.96  3.083  100  2 2 0
51.33  1.780  41  4 2 2
41.42  2.180  28  4 0 0
82.83  1.165  22  6 4 2
67.99  1.379  19  6 2 0
60.01  1.542  18  4 4 0
75.53  1.259  6  4 4 4
20.37  4.360  4  2 0 0
17.61  5.035  2  1 1 1
46.57  1.950  1  4 2 0
64.07  1.453  1  6 0 0
34.10  2.629  1  3 1 1

Structural model:
a b c (Å): 8.721 8.721 8.721
angles (deg): 90.00 90.00 90.00
Space group Fm-3m (No. 225)
Asymmetric unit:
1 Ba 0.250 0.250 0.250
2 Pr 0.000 0.000 0.000
3 W 0.000 0.000 0.500
4 O 0.000 0.000 0.270

---

# 5
# Ba8Re2W3O24
Computed X-ray powder pattern, copper Kα. Input: DFT lattice parameters and positions (PBE+U).
No peak broadening, texture or thermal motion is included.

Top 12 peaks for 10 to 90 degrees two-theta, most intense first:
2θ/deg  d/Å  I/Imax  (hkl)
26.59  3.352  100  1 0 13
30.69  2.914  74  1 1 0
41.04  2.199  44  0 2 13
52.11  1.755  30  2 1 13
44.19  2.049  18  0 1 26
54.55  1.682  15  3 0 0
63.90  1.457  14  2 2 0
70.48  1.336  13  1 3 13
64.09  1.453  13  1 2 26
86.89  1.121  11  3 2 13
54.76  1.676  10  2 0 26
13.67  6.478  9  0 0 9

Structural model:
a b c (Å): 5.8273 5.8273 58.3065
angles (deg): 90.00 90.00 120.00
Space group R-3m (No. 166, hexagonal axes)
Asymmetric unit:
1 Ba 0.0000 0.0000 0.1150
2 Ba 0.0000 0.0000 0.1846
3 Ba 0.0000 0.0000 0.2708
4 Ba 0.0000 0.0000 0.3507
5 Re 0.0000 0.0000 0.0391
6 W 0.0000 0.0000 0.4165
7 W 0.0000 0.0000 0.5000
8 O 0.0045 0.5023 0.7254
9 O 0.0130 0.5065 0.1855
10 O 0.0148 0.5074 0.0977
11 O 0.0246 0.5123 0.6444